Starting from DFT lattice parameters and positions (GGA-PBE), the X-ray diffraction stick pattern of Ti3H was computed for Cu Kα, 1.54184 Å.
Kinematic intensities with the Lorentz-polarization factor, no thermal factor.

Structure:
Cell: 9.4404 9.4404 4.9762 Å, 90.00 90.00 90.00°
Space group I-4 (No. 82)
Symmetry-distinct sites (fractional):
Ti: 0.0715 0.1172 0.2223 x8
Ti: 0.0807 0.3937 0.0326 x8
Ti: 0.1679 0.2703 0.6114 x8
H: 0.0622 0.1057 0.6179 x8

Largest 10 diffraction maxima, sorted by position, 10° ≤ 2θ ≤ 90°:
2θ (°), d [Å], intensity
26.71, 3.338, 14.4
29.93, 2.985, 19.0
33.70, 2.660, 26.5
38.13, 2.360, 13.0
38.62, 2.331, 59.0
38.87, 2.317, 100.0
43.51, 2.080, 50.4
56.87, 1.619, 11.7
59.91, 1.544, 13.7
62.53, 1.485, 14.6